Structure and simulated powder diffractogram of NpHgAu (DFT lattice parameters and positions (PBE); a wavelength of 1.5418 Å).

Peak list (6 most intense, 10° ≤ 2θ ≤ 80°, by angle)
d 2.596, 2θ 34.5, rel. 49
d 2.560, 2θ 35.1, rel. 50
d 2.539, 2θ 35.3, rel. 100
d 2.477, 2θ 36.3, rel. 83
d 1.823, 2θ 50.0, rel. 35
d 1.462, 2θ 63.6, rel. 39

Structure:
```
data_NpHgAu
_cell_length_a 10.372
_cell_length_b 5.119
_cell_length_c 6.342
_cell_angle_alpha 90.00
_cell_angle_beta 125.04
_cell_angle_gamma 90.00
_space_group_name_H-M_alt 'P 1'
_space_group_IT_number 1
_space_group_name_Hall 'P 1'
loop_
_atom_site_label
_atom_site_type_symbol
_atom_site_fract_x
_atom_site_fract_y
_atom_site_fract_z
Np1 Np 0.160 0.000 0.241
Np2 Np 0.340 0.500 0.759
Np3 Np 0.660 0.500 0.241
Np4 Np 0.840 0.000 0.759
Hg1 Hg 0.027 0.500 0.778
Hg2 Hg 0.473 0.000 0.222
Hg3 Hg 0.527 0.000 0.778
Hg4 Hg 0.973 0.500 0.222
Au1 Au 0.156 0.000 0.730
Au2 Au 0.344 0.500 0.270
Au3 Au 0.656 0.500 0.730
Au4 Au 0.844 0.000 0.270
```